1.
Starting from a structure optimized by DFT (PBE), the X-ray powder pattern of NbSn2 was calculated for Cu Kα (λ = 1.5418 Å).
Peak positions follow from Bragg's law for the DFT cell and can differ from measured ones.

Crystal structure
abc: 6.8122 5.6318 5.4428
angles: 75.90 53.30 50.80
Positions (direct):
1 Nb 0.1250 0.1250 0.1250
2 Nb 0.8750 0.8750 0.8750
3 Sn 0.2063 0.5437 0.2063
4 Sn 0.4563 0.7937 0.4563
5 Sn 0.5437 0.2063 0.5437
6 Sn 0.7937 0.4563 0.7937

Principal peaks in the range 2θ from 10° to 80°, in order of falling intensity:
- 2θ 34.18, I = 100.0
- 2θ 37.65, I = 77.1
- 2θ 43.18, I = 52.6
- 2θ 36.49, I = 42.0
- 2θ 57.78, I = 22.5
- 2θ 59.41, I = 20.7
- 2θ 62.08, I = 18.1
- 2θ 65.74, I = 15.4
- 2θ 66.44, I = 14.9
- 2θ 77.58, I = 14.7

---

2.
Starting from a structure optimized by DFT (PBE), the X-ray powder pattern of NbSn2 was calculated for Cu Kα (λ = 1.5418 Å).
Peak positions follow from Bragg's law for the DFT cell and can differ from measured ones.

Crystal structure
abc: 7.1988 3.4740 5.5100
angles: 90.00 90.00 90.00
Positions (direct):
1 Nb 0.0000 0.0000 0.0000
2 Nb 0.0000 0.5000 0.5000
3 Sn 0.3006 0.0000 0.3503
4 Sn 0.3006 0.5000 0.8503
5 Sn 0.6994 0.0000 0.3503
6 Sn 0.6994 0.5000 0.8503

Principal peaks in the range 2θ from 10° to 80°, in order of falling intensity:
- 2θ 39.59, I = 100.0
- 2θ 30.42, I = 59.2
- 2θ 32.92, I = 55.8
- 2θ 41.27, I = 37.8
- 2θ 37.48, I = 36.1
- 2θ 32.50, I = 33.1
- 2θ 56.69, I = 28.7
- 2θ 73.21, I = 23.5
- 2θ 69.96, I = 23.3
- 2θ 49.01, I = 20.9